(1)
Structure and calculated PXRD pattern of PmSm5Y5 (a cell relaxed with GGA-PBE; copper Kα).
Intensities are scaled so that the largest is 100.

Atomic structure:
Lattice parameters (Å, degrees): 6.9590 6.9719 8.6156 75.28 75.24 70.64
Element x y z (fractional)
Pm 0.0000 0.0000 0.0000
Sm 0.1429 0.1500 0.3618
Sm 0.2419 0.6461 0.2704
Sm 0.5000 0.0000 0.0000
Sm 0.7581 0.3539 0.7296
Sm 0.8571 0.8500 0.6382
Y 0.0000 0.5000 0.0000
Y 0.2958 0.3218 0.6428
Y 0.3518 0.7826 0.7111
Y 0.6482 0.2174 0.2889
Y 0.7042 0.6782 0.3572

Top 10 peaks for 2θ from 10° to 90°, by angle:
23.5°, intensity 18; 31.3°, intensity 16; 31.5°, intensity 57; 31.6°, intensity 96; 31.9°, intensity 100; 32.1°, intensity 18; 32.8°, intensity 35; 34.4°, intensity 20; 55.9°, intensity 26; 56.6°, intensity 18

=====

(2)
Structure and calculated PXRD pattern of AcUSi2O8 (a cell relaxed with GGA-PBE; copper Kα).
Intensities are scaled so that the largest is 100.

Atomic structure:
Lattice parameters (Å, degrees): 6.0050 6.0050 6.0050 106.08 106.08 116.49
Element x y z (fractional)
Ac 0.0000 0.0000 0.0000
U 0.2500 0.7500 0.5000
Si 0.5000 0.5000 0.0000
Si 0.7500 0.2500 0.5000
O 0.3458 0.1578 0.8119
O 0.3458 0.5339 0.1881
O 0.4059 0.0720 0.3340
O 0.4661 0.6542 0.8119
O 0.7380 0.0720 0.6660
O 0.8422 0.6542 0.1881
O 0.9280 0.2620 0.3340
O 0.9280 0.5941 0.6660

Top 10 peaks for 2θ from 10° to 90°, by angle:
18.7°, intensity 89; 24.7°, intensity 100; 31.1°, intensity 43; 33.3°, intensity 73; 35.2°, intensity 26; 40.1°, intensity 25; 44.8°, intensity 17; 47.6°, intensity 26; 49.2°, intensity 60; 61.9°, intensity 17

=====

(3)
Structure and calculated PXRD pattern of Ac2Dy5Er (a cell relaxed with GGA-PBE; copper Kα).
Intensities are scaled so that the largest is 100.

Atomic structure:
Lattice parameters (Å, degrees): 10.7561 10.7561 10.7561 151.94 151.94 40.10
Element x y z (fractional)
Ac 0.2502 0.2502 0.0000
Ac 0.7498 0.7498 0.0000
Dy 0.0000 0.0000 0.0000
Dy 0.1178 0.6178 0.5000
Dy 0.3822 0.8822 0.5000
Dy 0.6178 0.1178 0.5000
Dy 0.8822 0.3822 0.5000
Er 0.5000 0.5000 0.0000

Top 10 peaks for 2θ from 10° to 90°, by angle:
30.0°, intensity 100; 34.4°, intensity 36; 35.5°, intensity 15; 49.4°, intensity 13; 50.3°, intensity 23; 58.9°, intensity 30; 60.4°, intensity 12; 62.3°, intensity 12; 80.4°, intensity 7; 81.7°, intensity 11

=====

(4)
Structure and calculated PXRD pattern of SrLaPr2 (a cell relaxed with GGA-PBE; copper Kα).
Intensities are scaled so that the largest is 100.

Atomic structure:
Lattice parameters (Å, degrees): 6.0816 6.0816 6.0816 60.00 60.00 60.00
Element x y z (fractional)
Sr 0.0000 0.0000 0.0000
La 0.5000 0.5000 0.5000
Pr 0.2500 0.2500 0.2500
Pr 0.7500 0.7500 0.7500

Top 10 peaks for 2θ from 10° to 90°, by angle:
17.9°, intensity 2; 20.7°, intensity 2; 29.4°, intensity 100; 34.6°, intensity 1; 42.0°, intensity 19; 52.1°, intensity 40; 60.9°, intensity 13; 69.1°, intensity 17; 76.8°, intensity 4; 84.3°, intensity 20

=====

(5)
Structure and calculated PXRD pattern of Na2TeSe3 (a cell relaxed with GGA-PBE; copper Kα).
Intensities are scaled so that the largest is 100.

Atomic structure:
Lattice parameters (Å, degrees): 7.4767 7.4767 8.2038 105.93 105.93 47.90
Element x y z (fractional)
Na 0.1619 0.1701 0.0827
Na 0.1701 0.1619 0.5827
Na 0.8299 0.8381 0.4173
Na 0.8381 0.8299 0.9173
Te 0.4573 0.5427 0.7500
Te 0.5427 0.4573 0.2500
Se 0.0397 0.9603 0.7500
Se 0.3461 0.3522 0.4244
Se 0.3522 0.3461 0.9244
Se 0.6478 0.6539 0.0756
Se 0.6539 0.6478 0.5756
Se 0.9603 0.0397 0.2500

Top 10 peaks for 2θ from 10° to 90°, by angle:
13.6°, intensity 33; 16.1°, intensity 33; 29.4°, intensity 47; 30.0°, intensity 100; 38.3°, intensity 13; 41.6°, intensity 18; 42.5°, intensity 66; 44.2°, intensity 17; 51.7°, intensity 16; 54.0°, intensity 17

=====

(6)
Structure and calculated PXRD pattern of Cs5Au3I2 (a cell relaxed with GGA-PBE; copper Kα).
Intensities are scaled so that the largest is 100.

Atomic structure:
Lattice parameters (Å, degrees): 9.9242 9.9242 13.6568 124.71 124.71 30.45
Element x y z (fractional)
Cs 0.0000 0.0000 0.0000
Cs 0.0946 0.0946 0.4126
Cs 0.2945 0.2945 0.1947
Cs 0.7055 0.7055 0.8053
Cs 0.9054 0.9054 0.5874
Au 0.1147 0.1147 0.8744
Au 0.5000 0.5000 0.5000
Au 0.8853 0.8853 0.1256
I 0.3303 0.3303 0.7315
I 0.6697 0.6697 0.2685

Top 10 peaks for 2θ from 10° to 90°, by angle:
22.8°, intensity 100; 24.8°, intensity 62; 29.8°, intensity 18; 30.5°, intensity 26; 33.7°, intensity 33; 34.1°, intensity 31; 34.4°, intensity 30; 37.8°, intensity 19; 42.9°, intensity 29; 46.6°, intensity 18

=====

(7)
Structure and calculated PXRD pattern of Pu6Bi2Sb (a cell relaxed with GGA-PBE; copper Kα).
Intensities are scaled so that the largest is 100.

Atomic structure:
Lattice parameters (Å, degrees): 8.9722 8.9722 3.4814 90.00 90.00 120.00
Element x y z (fractional)
Pu 0.0000 0.3301 0.0000
Pu 0.0000 0.6699 0.0000
Pu 0.3301 0.0000 0.0000
Pu 0.3301 0.3301 0.0000
Pu 0.6699 0.0000 0.0000
Pu 0.6699 0.6699 0.0000
Bi 0.3333 0.6667 0.5000
Bi 0.6667 0.3333 0.5000
Sb 0.0000 0.0000 0.5000

Top 10 peaks for 2θ from 10° to 90°, by angle:
25.6°, intensity 14; 32.6°, intensity 96; 34.6°, intensity 100; 43.6°, intensity 22; 48.3°, intensity 33; 60.8°, intensity 33; 62.1°, intensity 19; 64.5°, intensity 34; 82.3°, intensity 15; 85.6°, intensity 16

=====

(8)
Structure and calculated PXRD pattern of Li2Be2AsO6 (a cell relaxed with GGA-PBE; copper Kα).
Intensities are scaled so that the largest is 100.

Atomic structure:
Lattice parameters (Å, degrees): 4.6919 4.6919 4.8224 90.00 90.00 120.00
Element x y z (fractional)
Li 0.3333 0.6667 0.0000
Li 0.6667 0.3333 0.0000
Be 0.3333 0.6667 0.5000
Be 0.6667 0.3333 0.5000
As 0.0000 0.0000 0.5000
O 0.0000 0.3365 0.7030
O 0.0000 0.6635 0.2970
O 0.3365 0.0000 0.7030
O 0.3365 0.3365 0.2970
O 0.6635 0.0000 0.2970
O 0.6635 0.6635 0.7030

Top 10 peaks for 2θ from 10° to 90°, by angle:
18.4°, intensity 100; 21.9°, intensity 62; 28.7°, intensity 88; 42.9°, intensity 53; 43.7°, intensity 22; 48.6°, intensity 21; 54.6°, intensity 49; 63.6°, intensity 18; 69.4°, intensity 18; 71.1°, intensity 15

=====

(9)
Structure and calculated PXRD pattern of Li2Tl3 (a cell relaxed with GGA-PBE; copper Kα).
Intensities are scaled so that the largest is 100.

Atomic structure:
Lattice parameters (Å, degrees): 9.4688 9.4688 9.4688 158.29 158.29 30.90
Element x y z (fractional)
Li 0.0954 0.0954 0.0000
Li 0.9046 0.9046 0.0000
Tl 0.3094 0.3094 0.0000
Tl 0.5000 0.5000 0.0000
Tl 0.6906 0.6906 0.0000

Top 10 peaks for 2θ from 10° to 90°, by angle:
25.4°, intensity 74; 29.4°, intensity 22; 35.2°, intensity 100; 35.6°, intensity 51; 46.8°, intensity 25; 51.2°, intensity 19; 58.0°, intensity 16; 61.6°, intensity 15; 62.8°, intensity 16; 63.7°, intensity 37

=====

(10)
Structure and calculated PXRD pattern of BiCl (a cell relaxed with GGA-PBE; copper Kα).
Intensities are scaled so that the largest is 100.

Atomic structure:
Lattice parameters (Å, degrees): 6.0638 6.0638 7.5274 90.00 90.00 115.01
Element x y z (fractional)
Bi 0.0403 0.9597 0.7982
Bi 0.4597 0.5403 0.2982
Bi 0.5403 0.4597 0.7018
Bi 0.9597 0.0403 0.2018
Cl 0.2064 0.7936 0.3898
Cl 0.2936 0.7064 0.8898
Cl 0.7064 0.2936 0.1102
Cl 0.7936 0.2064 0.6102

Top 10 peaks for 2θ from 10° to 90°, by angle:
17.3°, intensity 100; 21.0°, intensity 41; 23.6°, intensity 60; 27.4°, intensity 96; 29.5°, intensity 64; 32.6°, intensity 46; 37.1°, intensity 51; 39.5°, intensity 59; 40.7°, intensity 54; 46.7°, intensity 54

=====

(11)
Structure and calculated PXRD pattern of DySi2Ni (a cell relaxed with GGA-PBE; copper Kα).
Intensities are scaled so that the largest is 100.

Atomic structure:
Lattice parameters (Å, degrees): 3.9989 3.9650 8.4645 90.00 103.66 90.00
Element x y z (fractional)
Dy 0.1052 0.2500 0.2103
Dy 0.8948 0.7500 0.7897
Si 0.2509 0.7500 0.4998
Si 0.4601 0.2500 0.9193
Si 0.5399 0.7500 0.0807
Si 0.7491 0.2500 0.5002
Ni 0.3211 0.2500 0.6444
Ni 0.6789 0.7500 0.3556

Top 10 peaks for 2θ from 10° to 90°, by angle:
21.6°, intensity 33; 24.9°, intensity 30; 31.3°, intensity 29; 32.3°, intensity 74; 35.3°, intensity 74; 35.9°, intensity 100; 40.0°, intensity 33; 45.4°, intensity 31; 45.8°, intensity 30; 59.1°, intensity 33

=====

(12)
Structure and calculated PXRD pattern of Ho2TlI2 (a cell relaxed with GGA-PBE; copper Kα).
Intensities are scaled so that the largest is 100.

Atomic structure:
Lattice parameters (Å, degrees): 12.2981 12.2981 12.2981 19.48 19.48 19.48
Element x y z (fractional)
Ho 0.1131 0.1131 0.1131
Ho 0.8869 0.8869 0.8869
Tl 0.5000 0.5000 0.5000
I 0.2750 0.2750 0.2750
I 0.7250 0.7250 0.7250

Top 10 peaks for 2θ from 10° to 90°, by angle:
27.7°, intensity 100; 31.8°, intensity 46; 35.1°, intensity 21; 41.0°, intensity 42; 43.5°, intensity 39; 52.3°, intensity 17; 61.3°, intensity 13; 64.5°, intensity 23; 70.3°, intensity 14; 78.1°, intensity 13

=====

(13)
Structure and calculated PXRD pattern of Pm3Tm3Pu (a cell relaxed with GGA-PBE; copper Kα).
Intensities are scaled so that the largest is 100.

Atomic structure:
Lattice parameters (Å, degrees): 6.6876 6.6891 12.1444 90.03 105.75 119.86
Element x y z (fractional)
Pm 0.0895 0.1163 0.3753
Pm 0.2392 0.5270 0.6250
Pm 0.4049 0.7870 0.3746
Pm 0.5951 0.2130 0.6254
Pm 0.7608 0.4730 0.3750
Pm 0.9105 0.8837 0.6247
Tm 0.0874 0.7609 0.8842
Tm 0.3737 0.1706 0.1168
Tm 0.4405 0.6977 0.1138
Tm 0.5595 0.3023 0.8862
Tm 0.6263 0.8294 0.8832
Tm 0.9126 0.2391 0.1158
Pu 0.0730 0.2873 0.8588
Pu 0.9270 0.7127 0.1412

Top 10 peaks for 2θ from 10° to 90°, by angle:
27.8°, intensity 35; 30.8°, intensity 41; 30.9°, intensity 89; 31.0°, intensity 100; 31.3°, intensity 75; 33.5°, intensity 63; 33.6°, intensity 30; 35.8°, intensity 25; 36.0°, intensity 50; 40.7°, intensity 24

=====

(14)
Structure and calculated PXRD pattern of U6Pd3S14 (a cell relaxed with GGA-PBE; copper Kα).
Intensities are scaled so that the largest is 100.

Atomic structure:
Lattice parameters (Å, degrees): 9.5555 9.5555 5.6475 90.00 90.00 120.00
Element x y z (fractional)
U 0.0405 0.4851 0.0000
U 0.2898 0.1803 0.4976
U 0.4447 0.9595 0.0000
U 0.5149 0.5553 0.0000
U 0.8197 0.1094 0.4976
U 0.8906 0.7102 0.4976
Pd 0.0000 0.0000 0.1225
Pd 0.3333 0.6667 0.6279
Pd 0.6667 0.3333 0.3032
S 0.0000 0.0000 0.7063
S 0.1073 0.2673 0.2570
S 0.1600 0.8927 0.2570
S 0.1733 0.7756 0.7591
S 0.2244 0.3977 0.7591
S 0.3333 0.6667 0.2076
S 0.4140 0.2268 0.9739
S 0.5147 0.0661 0.4758
S 0.5514 0.4853 0.4758
S 0.6023 0.8267 0.7591
S 0.7327 0.8400 0.2570
S 0.7732 0.1872 0.9739
S 0.8128 0.5860 0.9739
S 0.9339 0.4486 0.4758

Top 10 peaks for 2θ from 10° to 90°, by angle:
19.0°, intensity 32; 21.5°, intensity 22; 26.7°, intensity 100; 28.5°, intensity 26; 36.2°, intensity 25; 37.7°, intensity 41; 38.6°, intensity 29; 42.5°, intensity 19; 43.2°, intensity 26; 53.3°, intensity 21